Starting from the GGA-PBE geometry in Alexandria, the powder diffractogram of Li4Mg2Ga was computed for Cu Ka.
Lines closer than 0.1° are merged.

The 10 most intense peaks (2θ = 10–80°), low angle first:
18.4 deg, I = 77, hkl 0 0 4; 19.7 deg, I = 53, hkl 0 1 1; 23.7 deg, I = 100, hkl 0 1 3; 31.3 deg, I = 25, hkl 1 0 1; 37.9 deg, I = 98, hkl 1 1 2; 38.0 deg, I = 62, hkl 0 1 7; 38.9 deg, I = 80, hkl 0 2 0; 53.2 deg, I = 29, hkl 1 0 9; 56.2 deg, I = 33, hkl 1 2 5; 69.8 deg, I = 25, hkl 0 3 7

Cell and atoms:
```
Li4Mg2Ga
1.0
2.8922 0.0000 0.0000
0.0000 4.6250 0.0000
0.0000 0.0000 19.3119
Li Mg Ga
8 4 2
Cartesian
0.0000 0.0000 1.2491
0.0000 0.0000 18.0628
0.0000 2.3125 2.5640
0.0000 2.3125 16.7479
1.4461 0.0000 7.0919
1.4461 0.0000 12.2200
1.4461 2.3125 8.4069
1.4461 2.3125 10.9050
0.0000 2.3125 5.6157
0.0000 2.3125 13.6962
1.4461 0.0000 4.0403
1.4461 0.0000 15.2716
0.0000 0.0000 9.6560
1.4461 2.3125 0.0000
```